(1)
For AcGa2Pb4, a structure optimized by DFT (PBE) gives the simulated XRD peak list in this record (Cu Ka).
Intensities are scaled so that the largest is 100.

Structural model:
a = 4.7348 Å, b = 18.5393 Å, c = 4.7461 Å
α = 90.00°, β = 90.00°, γ = 90.00°
Space group Cmmm (No. 65)
Symmetry-distinct sites (fractional):
Ac  0.0000  0.0000  0.0000 [2 per cell]
Ga  0.0000  0.4328  0.5000 [4 per cell]
Pb  0.0000  0.1695  0.5000 [4 per cell]
Pb  0.0000  0.3323  0.0000 [4 per cell]

Largest 10 diffraction maxima, sorted by position, 15 to 90 degrees two-theta:
- 28.90°, I 20, (0 6 0)
- 30.34°, I 100, (1 3 1)
- 37.96°, I 33, (2 0 0)
- 48.40°, I 20, (2 6 0)
- 52.11°, I 17, (1 9 1)
- 54.77°, I 12, (2 0 2)
- 63.11°, I 9, (2 6 2)
- 63.84°, I 13, (1 3 3)
- 63.97°, I 12, (3 3 1)
- 73.12°, I 9, (2 12 0)

(2)
For Ac2Ga12Pd, a structure optimized by DFT (PBE) gives the simulated XRD peak list in this record (Cu Ka).
Intensities are scaled so that the largest is 100.

Structural model:
a = 6.3114 Å, b = 6.3114 Å, c = 15.7484 Å
α = 90.00°, β = 90.00°, γ = 90.00°
Space group P4/nbm (No. 125, origin choice 2)
Symmetry-distinct sites (fractional):
Ac  0.2500  0.7500  0.2446 [4 per cell]
Ga  0.0002  0.9998  0.0858 [8 per cell]
Ga  0.0752  0.5752  0.4317 [8 per cell]
Ga  0.2500  0.2500  0.1817 [4 per cell]
Ga  0.2500  0.2500  0.3455 [4 per cell]
Pd  0.2500  0.7500  0.0000 [2 per cell]

Largest 10 diffraction maxima, sorted by position, 15 to 90 degrees two-theta:
- 19.89°, I 26, (1 1 0)
- 28.29°, I 18, (2 0 0)
- 30.27°, I 84, (1 1 4)
- 30.52°, I 100, (2 0 2)
- 36.49°, I 42, (2 0 4)
- 39.84°, I 36, (1 1 6)
- 40.43°, I 85, (2 2 0)
- 51.32°, I 43, (3 1 4)
- 54.98°, I 17, (2 0 8)
- 66.74°, I 25, (3 1 8)

(3)
For Ac2GaPd5, a structure optimized by DFT (PBE) gives the simulated XRD peak list in this record (Cu Ka).
Intensities are scaled so that the largest is 100.

Structural model:
a = 6.3659 Å, b = 6.3659 Å, c = 8.8057 Å
α = 90.00°, β = 90.00°, γ = 90.00°
Space group I4mm (No. 107)
Symmetry-distinct sites (fractional):
Ac  0.0000  0.5000  0.0000 [4 per cell]
Ga  0.0000  0.0000  0.2366 [2 per cell]
Pd  0.0000  0.0000  0.5271 [2 per cell]
Pd  0.2226  0.2226  0.7531 [8 per cell]

Largest 10 diffraction maxima, sorted by position, 15 to 90 degrees two-theta:
- 19.72°, I 15, (1 1 0)
- 28.36°, I 40, (1 1 2)
- 34.78°, I 100, (2 0 2)
- 40.06°, I 44, (2 2 0)
- 41.00°, I 22, (0 0 4)
- 49.81°, I 14, (3 1 2)
- 57.95°, I 14, (4 0 0)
- 58.66°, I 27, (2 2 4)
- 69.38°, I 22, (4 2 2)
- 73.41°, I 13, (4 0 4)

(4)
For Ac2Ga9Pd3, a structure optimized by DFT (PBE) gives the simulated XRD peak list in this record (Cu Ka).
Intensities are scaled so that the largest is 100.

Structural model:
a = 13.7640 Å, b = 7.9460 Å, c = 10.9311 Å
α = 90.00°, β = 114.46°, γ = 90.00°
Space group C2/c (No. 15)
Symmetry-distinct sites (fractional):
Ac  0.1673  0.0826  0.2511 [8 per cell]
Ga  0.0000  0.3824  0.2500 [4 per cell]
Ga  0.0582  0.0934  0.9252 [8 per cell]
Ga  0.0998  0.3215  0.7483 [8 per cell]
Ga  0.0998  0.4179  0.0544 [8 per cell]
Ga  0.2194  0.4217  0.4243 [8 per cell]
Pd  0.0843  0.2481  0.5014 [8 per cell]
Pd  0.2500  0.2500  0.0000 [4 per cell]

Largest 10 diffraction maxima, sorted by position, 15 to 90 degrees two-theta:
- 24.12°, I 35, (3 1 -2)
- 28.79°, I 22, (0 2 2)
- 35.20°, I 82, (0 2 3)
- 35.35°, I 41, (3 1 -4)
- 36.11°, I 27, (0 0 4)
- 39.28°, I 100, (6 0 -2)
- 68.45°, I 14, (9 1 0)
- 68.69°, I 13, (3 5 -4)
- 71.20°, I 16, (9 3 -3)
- 84.47°, I 14, (6 6 -2)

(5)
For AcGa12Pd4, a structure optimized by DFT (PBE) gives the simulated XRD peak list in this record (Cu Ka).
Intensities are scaled so that the largest is 100.

Structural model:
a = 8.8860 Å, b = 8.8860 Å, c = 8.8860 Å
α = 90.00°, β = 90.00°, γ = 90.00°
Space group Im-3 (No. 204)
Symmetry-distinct sites (fractional):
Ac  0.0000  0.0000  0.0000 [2 per cell]
Ga  0.0000  0.3511  0.1562 [24 per cell]
Pd  0.2500  0.2500  0.2500 [8 per cell]

Largest 10 diffraction maxima, sorted by position, 15 to 90 degrees two-theta:
- 28.41°, I 46, (2 2 0)
- 31.85°, I 100, (3 0 1)
- 37.88°, I 60, (3 1 2)
- 45.66°, I 22, (4 0 2)
- 50.30°, I 55, (4 2 2)
- 52.51°, I 43, (4 3 1)
- 66.56°, I 17, (6 2 0)
- 72.09°, I 16, (6 1 3)
- 73.89°, I 11, (4 4 4)
- 86.18°, I 11, (7 2 3)

(6)
For AcGa3Pd, a structure optimized by DFT (PBE) gives the simulated XRD peak list in this record (Cu Ka).
Intensities are scaled so that the largest is 100.

Structural model:
a = 4.4712 Å, b = 4.4712 Å, c = 10.7093 Å
α = 90.00°, β = 90.00°, γ = 90.00°
Space group I4mm (No. 107)
Symmetry-distinct sites (fractional):
Ac  0.0000  0.0000  0.0000 [2 per cell]
Ga  0.0000  0.0000  0.5995 [2 per cell]
Ga  0.0000  0.5000  0.2453 [4 per cell]
Pd  0.0000  0.0000  0.3622 [2 per cell]

Largest 10 diffraction maxima, sorted by position, 15 to 90 degrees two-theta:
- 21.54°, I 19, (1 0 1)
- 28.23°, I 34, (1 1 0)
- 32.08°, I 85, (1 0 3)
- 32.90°, I 100, (1 1 2)
- 40.34°, I 61, (2 0 0)
- 47.04°, I 32, (1 0 5)
- 52.45°, I 43, (2 1 3)
- 58.38°, I 21, (2 2 0)
- 63.66°, I 26, (2 1 5)
- 68.66°, I 24, (3 1 2)

(7)
For Ac2Ga9Pd6, a structure optimized by DFT (PBE) gives the simulated XRD peak list in this record (Cu Ka).
Intensities are scaled so that the largest is 100.

Structural model:
a = 5.6010 Å, b = 5.6010 Å, c = 12.6731 Å
α = 90.00°, β = 90.00°, γ = 120.00°
Space group P6/mmm (No. 191)
Symmetry-distinct sites (fractional):
Ac  0.0000  0.0000  0.1666 [2 per cell]
Ga  0.0000  0.5000  0.0000 [3 per cell]
Ga  0.0000  0.5000  0.3419 [6 per cell]
Pd  0.3333  0.6667  0.1747 [4 per cell]
Pd  0.3333  0.6667  0.5000 [2 per cell]

Largest 10 diffraction maxima, sorted by position, 15 to 90 degrees two-theta:
- 19.60°, I 18, (1 0 1)
- 28.01°, I 15, (1 0 3)
- 31.96°, I 37, (1 1 0)
- 37.07°, I 20, (2 0 0)
- 38.57°, I 100, (1 1 3)
- 42.81°, I 21, (0 0 6)
- 54.41°, I 16, (1 1 6)
- 61.40°, I 25, (3 0 3)
- 66.81°, I 18, (2 2 0)
- 82.68°, I 18, (2 2 6)

(8)
For AcPrGaPd, a structure optimized by DFT (PBE) gives the simulated XRD peak list in this record (Cu Ka).
Intensities are scaled so that the largest is 100.

Structural model:
a = 4.5789 Å, b = 4.5755 Å, c = 10.6532 Å
α = 90.00°, β = 90.00°, γ = 90.00°
Space group Amm2 (No. 38)
Symmetry-distinct sites (fractional):
Ac  0.0000  0.0000  0.0000 [2 per cell]
Pr  0.5000  0.0000  0.7118 [2 per cell]
Ga  0.5000  0.0000  0.4137 [2 per cell]
Pd  0.0000  0.0000  0.2841 [2 per cell]

Largest 10 diffraction maxima, sorted by position, 15 to 90 degrees two-theta:
- 25.66°, I 24, (1 0 2)
- 28.83°, I 100, (1 1 1)
- 31.90°, I 46, (0 1 3)
- 37.60°, I 41, (1 1 3)
- 39.13°, I 22, (1 0 4)
- 39.37°, I 50, (2 0 0)
- 51.52°, I 25, (2 1 3)
- 52.74°, I 18, (2 0 4)
- 65.03°, I 20, (3 1 1)
- 70.20°, I 22, (1 2 6)